Calculated powder XRD pattern of Th2Mn3Ge4 for Cu Kα (λ = 1.5418 Å), from a GGA-PBE-relaxed structure.

Principal peaks in the range 10° ≤ 2θ ≤ 80°, by intensity:
Position (°2θ)  intensity  h k l
35.4  100.0  1 5 1
37.2  63.1  0 2 3
38.9  57.3  2 0 2
35.1  55.7  2 2 1
33.2  54.0  1 3 2
20.1  40.4  1 1 1

Crystal structure
a b c (Å): 5.811 15.147 7.647
angles (deg): 90.00 90.00 90.00
Space group Cmce (No. 64)
Inequivalent atoms, fractional coordinates:
Th  0.000  0.114  0.089 [8 per cell]
Mn  0.000  0.000  0.500 [4 per cell]
Mn  0.250  0.216  0.750 [8 per cell]
Ge  0.000  0.187  0.465 [8 per cell]
Ge  0.250  0.051  0.750 [8 per cell]